Record 1
La2ZnSe2O2: theoretical X-ray powder pattern (λ = 1.5418 Å (Cu Kα)), based on a cell relaxed with PBE.
Peak positions follow from Bragg's law for the DFT cell and can differ from measured ones.

The 12 most intense peaks (10° ≤ 2θ ≤ 90°), in order of rising 2θ:
2θ/deg  d_spacing  I/Imax
29.8  2.996  100
31.2  2.868  28
32.8  2.729  8
37.3  2.410  18
44.7  2.028  27
46.6  1.949  10
52.1  1.757  24
54.7  1.679  35
65.0  1.434  8
73.2  1.293  7
87.9  1.111  10
90.0  1.091  8

Structural model:
Unit cell a=14.513 b=14.513 c=5.736 alpha=90.00 beta=90.00 gamma=75.55
Fractional positions:
La  0.056  0.694  0.268
La  0.069  0.431  0.250
La  0.180  0.820  0.774
La  0.194  0.556  0.768
La  0.306  0.944  0.268
La  0.320  0.680  0.274
La  0.431  0.069  0.750
La  0.444  0.806  0.768
La  0.556  0.194  0.232
La  0.569  0.931  0.250
La  0.680  0.320  0.726
La  0.694  0.056  0.732
La  0.806  0.444  0.232
La  0.820  0.180  0.226
La  0.931  0.569  0.750
La  0.944  0.306  0.732
Zn  0.070  0.070  0.500
Zn  0.189  0.189  0.000
Zn  0.311  0.311  0.500
Zn  0.430  0.430  0.000
Zn  0.570  0.570  0.000
Zn  0.689  0.689  0.500
Zn  0.811  0.811  0.000
Zn  0.930  0.930  0.500
Se  0.042  0.210  0.237
Se  0.084  0.916  0.284
Se  0.166  0.334  0.750
Se  0.210  0.042  0.763
Se  0.290  0.458  0.263
Se  0.334  0.166  0.250
Se  0.416  0.584  0.784
Se  0.458  0.290  0.737
Se  0.542  0.710  0.263
Se  0.584  0.416  0.216
Se  0.666  0.834  0.750
Se  0.710  0.542  0.737
Se  0.790  0.958  0.237
Se  0.834  0.666  0.250
Se  0.916  0.084  0.716
Se  0.958  0.790  0.763
O  0.060  0.565  0.008
O  0.065  0.560  0.508
O  0.187  0.687  0.023
O  0.187  0.687  0.523
O  0.313  0.813  0.023
O  0.313  0.813  0.523
O  0.435  0.940  0.008
O  0.440  0.935  0.508
O  0.560  0.065  0.492
O  0.565  0.060  0.992
O  0.687  0.187  0.477
O  0.687  0.187  0.977
O  0.813  0.313  0.477
O  0.813  0.313  0.977
O  0.935  0.440  0.492
O  0.940  0.435  0.992

---

Record 2
Na2Mg2Ga2PdAu: theoretical X-ray powder pattern (λ = 1.5418 Å (Cu Kα)), based on a cell relaxed with PBE.
Peak positions follow from Bragg's law for the DFT cell and can differ from measured ones.

The 12 most intense peaks (10° ≤ 2θ ≤ 90°), in order of rising 2θ:
2θ/deg  d_spacing  I/Imax
23.3  3.817  60
27.0  3.300  7
38.5  2.337  100
45.4  1.998  10
45.6  1.991  21
55.4  1.658  6
55.7  1.650  11
61.1  1.518  9
69.6  1.352  11
69.7  1.348  22
74.7  1.270  5
82.5  1.170  7

Structural model:
Unit cell a=4.667 b=4.667 c=6.633 alpha=90.00 beta=90.00 gamma=90.00
Fractional positions:
Na  0.000  0.000  0.000
Na  0.500  0.500  0.500
Mg  0.000  0.500  0.244
Mg  0.500  0.000  0.756
Ga  0.000  0.500  0.762
Ga  0.500  0.000  0.238
Pd  0.500  0.500  0.000
Au  0.000  0.000  0.500

---

Record 3
Li2ZnCd3Au2: theoretical X-ray powder pattern (λ = 1.5418 Å (Cu Kα)), based on a cell relaxed with PBE.
Peak positions follow from Bragg's law for the DFT cell and can differ from measured ones.

The 12 most intense peaks (10° ≤ 2θ ≤ 90°), in order of rising 2θ:
2θ/deg  d_spacing  I/Imax
23.6  3.771  81
39.0  2.311  100
39.1  2.306  51
46.0  1.974  13
46.1  1.967  28
56.1  1.639  8
56.4  1.630  17
61.9  1.500  11
70.5  1.336  16
70.7  1.332  34
75.8  1.255  7
83.7  1.156  10

Structural model:
Unit cell a=4.611 b=4.611 c=6.555 alpha=90.00 beta=90.00 gamma=90.00
Fractional positions:
Li  0.000  0.500  0.236
Li  0.500  0.000  0.764
Zn  0.500  0.500  0.000
Cd  0.000  0.000  0.000
Cd  0.000  0.000  0.500
Cd  0.500  0.500  0.500
Au  0.000  0.500  0.766
Au  0.500  0.000  0.234

---

Record 4
Cu2Ag3: theoretical X-ray powder pattern (λ = 1.5418 Å (Cu Kα)), based on a cell relaxed with PBE.
Peak positions follow from Bragg's law for the DFT cell and can differ from measured ones.

The 12 most intense peaks (10° ≤ 2θ ≤ 90°), in order of rising 2θ:
2θ/deg  d_spacing  I/Imax
39.2  2.299  47
39.3  2.290  48
39.5  2.280  100
44.6  2.030  65
48.1  1.892  27
65.3  1.428  11
67.6  1.386  17
67.8  1.382  17
78.9  1.213  11
79.0  1.212  11
83.8  1.154  14
85.1  1.140  10

Structural model:
Unit cell a=6.033 b=6.033 c=9.433 alpha=98.90 beta=98.90 gamma=27.39
Fractional positions:
Cu  0.113  0.113  0.318
Cu  0.207  0.207  0.590
Cu  0.793  0.793  0.410
Cu  0.887  0.887  0.682
Ag  0.000  0.000  0.000
Ag  0.298  0.298  0.886
Ag  0.408  0.408  0.215
Ag  0.500  0.500  0.500
Ag  0.592  0.592  0.785
Ag  0.702  0.702  0.114

---

Record 5
ZnBiPO: theoretical X-ray powder pattern (λ = 1.5418 Å (Cu Kα)), based on a cell relaxed with PBE.
Peak positions follow from Bragg's law for the DFT cell and can differ from measured ones.

The 12 most intense peaks (10° ≤ 2θ ≤ 90°), in order of rising 2θ:
2θ/deg  d_spacing  I/Imax
18.0  4.932  35
20.5  4.341  15
29.5  3.026  100
29.8  2.996  20
30.1  2.970  22
34.5  2.602  13
35.3  2.545  18
42.9  2.110  28
47.1  1.930  26
52.7  1.735  16
53.1  1.725  19
65.7  1.421  12

Structural model:
Unit cell a=5.941 b=5.993 c=8.682 alpha=90.00 beta=90.00 gamma=90.00
Fractional positions:
Zn  0.016  0.243  0.102
Zn  0.484  0.757  0.602
Zn  0.516  0.257  0.898
Zn  0.984  0.743  0.398
Bi  0.008  0.219  0.578
Bi  0.492  0.781  0.078
Bi  0.508  0.281  0.422
Bi  0.992  0.719  0.922
P  0.219  0.516  0.248
P  0.281  0.484  0.748
P  0.719  0.984  0.752
P  0.781  0.016  0.252
O  0.223  0.932  0.511
O  0.277  0.068  0.011
O  0.723  0.568  0.489
O  0.777  0.432  0.989

---

Record 6
Na6FeSe4: theoretical X-ray powder pattern (λ = 1.5418 Å (Cu Kα)), based on a cell relaxed with PBE.
Peak positions follow from Bragg's law for the DFT cell and can differ from measured ones.

The 12 most intense peaks (10° ≤ 2θ ≤ 90°), in order of rising 2θ:
2θ/deg  d_spacing  I/Imax
11.0  8.055  51
16.6  5.343  40
22.1  4.028  53
24.9  3.569  42
25.4  3.508  94
32.0  2.801  38
33.5  2.671  81
35.7  2.513  31
38.7  2.325  100
39.5  2.282  18
44.2  2.049  56
46.6  1.948  38

Structural model:
Unit cell a=9.302 b=9.302 c=7.139 alpha=90.00 beta=90.00 gamma=120.00
Fractional positions:
Na  0.058  0.529  0.000
Na  0.147  0.294  0.674
Na  0.147  0.853  0.674
Na  0.294  0.147  0.174
Na  0.471  0.529  0.000
Na  0.471  0.942  0.000
Na  0.529  0.058  0.500
Na  0.529  0.471  0.500
Na  0.706  0.853  0.674
Na  0.853  0.147  0.174
Na  0.853  0.706  0.174
Na  0.942  0.471  0.500
Fe  0.333  0.667  0.381
Fe  0.667  0.333  0.881
Se  0.187  0.375  0.274
Se  0.187  0.813  0.274
Se  0.333  0.667  0.728
Se  0.375  0.187  0.774
Se  0.625  0.813  0.274
Se  0.667  0.333  0.228
Se  0.813  0.187  0.774
Se  0.813  0.625  0.774

---

Record 7
Sr3Ir3N4O5: theoretical X-ray powder pattern (λ = 1.5418 Å (Cu Kα)), based on a cell relaxed with PBE.
Peak positions follow from Bragg's law for the DFT cell and can differ from measured ones.

The 12 most intense peaks (10° ≤ 2θ ≤ 90°), in order of rising 2θ:
2θ/deg  d_spacing  I/Imax
21.0  4.236  28
23.8  3.739  14
28.6  3.125  22
29.9  2.988  40
31.4  2.847  29
31.9  2.803  100
36.0  2.494  17
42.7  2.118  15
48.7  1.869  15
52.1  1.756  15
54.4  1.687  23
58.2  1.585  16

Structural model:
Unit cell a=3.739 b=9.453 c=9.453 alpha=142.97 beta=90.00 gamma=90.00
Fractional positions:
Sr  0.000  0.000  0.000
Sr  0.000  0.165  0.501
Sr  0.000  0.501  0.165
Ir  0.500  0.021  0.686
Ir  0.500  0.535  0.535
Ir  0.500  0.686  0.021
N  0.000  0.032  0.690
N  0.000  0.690  0.032
N  0.500  0.510  0.707
N  0.500  0.707  0.510
O  0.000  0.429  0.429
O  0.500  0.010  0.189
O  0.500  0.189  0.010
O  0.500  0.379  0.902
O  0.500  0.902  0.379

---

Record 8
LiZrO4: theoretical X-ray powder pattern (λ = 1.5418 Å (Cu Kα)), based on a cell relaxed with PBE.
Peak positions follow from Bragg's law for the DFT cell and can differ from measured ones.

The 12 most intense peaks (10° ≤ 2θ ≤ 90°), in order of rising 2θ:
2θ/deg  d_spacing  I/Imax
13.6  6.503  60
19.5  4.555  61
20.8  4.278  100
21.4  4.162  15
29.8  3.001  33
32.5  2.752  28
32.9  2.722  17
38.7  2.326  23
40.1  2.246  16
41.7  2.167  19
44.2  2.051  19
45.6  1.988  20

Structural model:
Unit cell a=3.105 b=8.597 c=9.152 alpha=85.26 beta=87.07 gamma=86.97
Fractional positions:
Li  0.188  0.284  0.079
Li  0.225  0.213  0.474
Li  0.775  0.787  0.526
Li  0.812  0.716  0.921
Zr  0.256  0.030  0.754
Zr  0.278  0.542  0.331
Zr  0.722  0.458  0.669
Zr  0.744  0.970  0.246
O  0.217  0.138  0.277
O  0.223  0.603  0.557
O  0.229  0.561  0.824
O  0.238  0.293  0.690
O  0.238  0.913  0.403
O  0.271  0.882  0.102
O  0.284  0.849  0.954
O  0.411  0.438  0.915
O  0.589  0.562  0.085
O  0.716  0.151  0.046
O  0.729  0.118  0.898
O  0.762  0.087  0.597
O  0.762  0.707  0.310
O  0.771  0.439  0.176
O  0.777  0.397  0.443
O  0.783  0.862  0.723

---

Repeat the third record exactly.
Li2ZnCd3Au2: theoretical X-ray powder pattern (λ = 1.5418 Å (Cu Kα)), based on a cell relaxed with PBE.
Peak positions follow from Bragg's law for the DFT cell and can differ from measured ones.

The 12 most intense peaks (10° ≤ 2θ ≤ 90°), in order of rising 2θ:
2θ/deg  d_spacing  I/Imax
23.6  3.771  81
39.0  2.311  100
39.1  2.306  51
46.0  1.974  13
46.1  1.967  28
56.1  1.639  8
56.4  1.630  17
61.9  1.500  11
70.5  1.336  16
70.7  1.332  34
75.8  1.255  7
83.7  1.156  10

Structural model:
Unit cell a=4.611 b=4.611 c=6.555 alpha=90.00 beta=90.00 gamma=90.00
Fractional positions:
Li  0.000  0.500  0.236
Li  0.500  0.000  0.764
Zn  0.500  0.500  0.000
Cd  0.000  0.000  0.000
Cd  0.000  0.000  0.500
Cd  0.500  0.500  0.500
Au  0.000  0.500  0.766
Au  0.500  0.000  0.234

---

Question: What is the formula in the seventh record?
Answer: Sr3Ir3N4O5